# Tm6GaPd5
Simulated PXRD pattern, Cu Kα (λ = 1.5418 Å). Input: a structure optimized by DFT (PBE).

Most intense lines, 10° ≤ 2θ ≤ 80°, low angle first:
Position (°2θ)	d (Å)	I/Imax
25.5	3.496	7
26.0	3.430	3
36.3	2.472	51
36.7	2.449	100
52.3	1.748	18
53.4	1.715	8
65.6	1.423	27
65.7	1.421	9
66.3	1.409	18
78.1	1.224	11

Cell and atoms:
Lattice parameters (Å, degrees): 4.940 6.861 7.828 90.00 108.48 90.00
Space group P2/m (No. 10)
Unique sites:
Tm (0.000, 0.245, 0.000) [2 per cell]
Tm (0.332, 0.249, 0.663) [4 per cell]
Ga (0.500, 0.500, 0.000) [1 per cell]
Pd (0.161, 0.500, 0.323) [2 per cell]
Pd (0.166, 0.000, 0.334) [2 per cell]
Pd (0.500, 0.000, 0.000) [1 per cell]

---

# Tm6Ga17Pd5
Simulated PXRD pattern, Cu Kα (λ = 1.5418 Å). Input: a structure optimized by DFT (PBE).

Most intense lines, 10° ≤ 2θ ≤ 80°, low angle first:
Position (°2θ)	d (Å)	I/Imax
30.2	2.961	22
35.1	2.559	40
35.5	2.531	20
35.6	2.523	100
35.7	2.515	81
37.2	2.419	26
38.1	2.360	18
42.4	2.134	73
44.0	2.057	36
62.8	1.481	19

Cell and atoms:
Lattice parameters (Å, degrees): 15.672 4.267 15.586 90.00 104.27 90.00
Space group C2/m (No. 12)
Unique sites:
Tm (0.091, 0.000, 0.406) [4 per cell]
Tm (0.103, 0.500, 0.901) [4 per cell]
Tm (0.246, 0.000, 0.251) [4 per cell]
Ga (0.000, 0.000, 0.000) [2 per cell]
Ga (0.038, 0.000, 0.179) [4 per cell]
Ga (0.047, 0.500, 0.675) [4 per cell]
Ga (0.101, 0.500, 0.263) [4 per cell]
Ga (0.109, 0.000, 0.766) [4 per cell]
Ga (0.175, 0.500, 0.543) [4 per cell]
Ga (0.178, 0.000, 0.039) [4 per cell]
Ga (0.231, 0.500, 0.396) [4 per cell]
Ga (0.242, 0.000, 0.894) [4 per cell]
Pd (0.000, 0.500, 0.500) [2 per cell]
Pd (0.088, 0.500, 0.091) [4 per cell]
Pd (0.106, 0.000, 0.603) [4 per cell]

---

# TmZn8Ga2Pd
Simulated PXRD pattern, Cu Kα (λ = 1.5418 Å). Input: a structure optimized by DFT (PBE).

Most intense lines, 10° ≤ 2θ ≤ 80°, low angle first:
Position (°2θ)	d (Å)	I/Imax
28.6	3.118	64
31.0	2.885	70
36.8	2.443	77
37.6	2.393	47
38.1	2.364	93
40.0	2.254	94
40.6	2.223	93
41.0	2.203	100
44.3	2.043	61
45.2	2.006	52

Cell and atoms:
Lattice parameters (Å, degrees): 7.624 4.956 11.071 90.00 101.83 90.00
Space group C2/m (No. 12)
Unique sites:
Tm (0.000, 0.000, 0.000) [2 per cell]
Zn (0.059, 0.247, 0.306) [8 per cell]
Zn (0.168, 0.500, 0.542) [4 per cell]
Zn (0.238, 0.500, 0.161) [4 per cell]
Ga (0.133, 0.500, 0.879) [4 per cell]
Pd (0.000, 0.000, 0.500) [2 per cell]

---

# TmZnGa3Pd
Simulated PXRD pattern, Cu Kα (λ = 1.5418 Å). Input: a structure optimized by DFT (PBE).

Most intense lines, 10° ≤ 2θ ≤ 80°, low angle first:
Position (°2θ)	d (Å)	I/Imax
26.4	3.380	26
28.5	3.132	36
30.6	2.919	32
32.0	2.797	59
33.9	2.642	46
39.2	2.297	36
39.4	2.288	34
40.9	2.206	42
42.3	2.135	100
42.5	2.128	35

Cell and atoms:
Lattice parameters (Å, degrees): 5.837 12.435 6.264 90.00 90.00 90.00
Space group Cmcm (No. 63)
Unique sites:
Tm (0.000, 0.188, 0.250) [4 per cell]
Zn (0.000, 0.407, 0.250) [4 per cell]
Ga (0.000, 0.361, 0.750) [4 per cell]
Ga (0.217, 0.000, 0.000) [8 per cell]
Pd (0.000, 0.153, 0.750) [4 per cell]

---

# UGa2Pd2
Simulated PXRD pattern, Cu Kα (λ = 1.5418 Å). Input: a structure optimized by DFT (PBE).

Most intense lines, 10° ≤ 2θ ≤ 80°, low angle first:
Position (°2θ)	d (Å)	I/Imax
31.1	2.877	18
32.2	2.780	31
32.7	2.737	32
35.0	2.562	100
43.7	2.070	24
45.3	2.001	22
45.9	1.977	21
46.3	1.962	17
64.8	1.439	15
66.5	1.407	20

Cell and atoms:
Lattice parameters (Å, degrees): 4.003 4.139 11.253 90.00 90.00 90.00
Space group Pmmn (No. 59, origin choice 2)
Unique sites:
U (0.250, 0.250, 0.248) [2 per cell]
Ga (0.250, 0.250, 0.633) [2 per cell]
Ga (0.250, 0.750, 0.997) [2 per cell]
Pd (0.250, 0.250, 0.855) [2 per cell]
Pd (0.250, 0.750, 0.504) [2 per cell]

---

# V4GaPd
Simulated PXRD pattern, Cu Kα (λ = 1.5418 Å). Input: a structure optimized by DFT (PBE).

Most intense lines, 10° ≤ 2θ ≤ 80°, low angle first:
Position (°2θ)	d (Å)	I/Imax
30.5	2.935	16
40.9	2.208	29
41.0	2.199	29
42.5	2.126	100
59.3	1.558	18
64.0	1.454	6
75.6	1.258	16
75.8	1.255	16
78.8	1.214	7
78.9	1.213	7

Cell and atoms:
Lattice parameters (Å, degrees): 4.399 8.725 4.416 90.00 90.00 90.00
Space group Cmmm (No. 65)
Unique sites:
V (0.000, 0.174, 0.000) [4 per cell]
V (0.000, 0.316, 0.500) [4 per cell]
Ga (0.000, 0.000, 0.500) [2 per cell]
Pd (0.000, 0.500, 0.000) [2 per cell]

---

# V2GaPd2
Simulated PXRD pattern, Cu Kα (λ = 1.5418 Å). Input: a structure optimized by DFT (PBE).

Most intense lines, 10° ≤ 2θ ≤ 80°, low angle first:
Position (°2θ)	d (Å)	I/Imax
16.8	5.264	17
26.8	3.329	22
32.4	2.763	18
38.2	2.354	70
40.7	2.219	16
42.5	2.126	100
43.9	2.065	21
51.0	1.792	21
55.6	1.654	17
77.2	1.236	16

Cell and atoms:
Lattice parameters (Å, degrees): 7.444 7.444 2.763 90.00 90.00 90.00
Space group P4/mbm (No. 127)
Unique sites:
V (0.170, 0.330, 0.000) [4 per cell]
Ga (0.000, 0.000, 0.500) [2 per cell]
Pd (0.127, 0.627, 0.500) [4 per cell]

---

# VGa2Pd8
Simulated PXRD pattern, Cu Kα (λ = 1.5418 Å). Input: a structure optimized by DFT (PBE).

Most intense lines, 10° ≤ 2θ ≤ 80°, low angle first:
Position (°2θ)	d (Å)	I/Imax
30.5	2.927	29
31.9	2.809	19
37.2	2.417	53
38.2	2.354	85
39.0	2.310	86
39.2	2.299	53
41.3	2.185	100
45.2	2.007	65
45.3	2.001	29
46.5	1.951	22

Cell and atoms:
Lattice parameters (Å, degrees): 7.247 11.368 4.458 90.00 109.57 90.00
Space group C2/m (No. 12)
Unique sites:
V (0.000, 0.000, 0.000) [2 per cell]
Ga (0.000, 0.315, 0.500) [4 per cell]
Pd (0.000, 0.221, 0.000) [4 per cell]
Pd (0.124, 0.500, 0.820) [4 per cell]
Pd (0.199, 0.119, 0.604) [8 per cell]